No. 1
For La2Se3, a cell relaxed with PBE gives the theoretical powder X-ray diffraction pattern in this record (Cu Kα (λ = 1.5418 Å)).
Intensities are scaled so that the largest is 1000.

Most intense lines, 2θ from 10° to 90°, low angle first:
24.0 deg, rel. 186; 31.1 deg, rel. 1000; 37.0 deg, rel. 682; 44.5 deg, rel. 139; 46.8 deg, rel. 139; 62.9 deg, rel. 148

Atomic structure:
```
La2Se3
1.0
-4.554 4.554 13.614
4.554 -4.554 13.614
4.554 4.554 -13.614
La Se
16 24
direct
0.047 0.153 0.621
0.166 0.166 0.000
0.176 0.782 0.879
0.218 0.097 0.394
0.255 0.625 0.130
0.375 0.505 0.630
0.495 0.125 0.870
0.532 0.426 0.379
0.574 0.953 0.106
0.584 0.084 0.500
0.703 0.824 0.606
0.834 0.834 0.000
0.847 0.468 0.894
0.875 0.745 0.370
0.903 0.297 0.121
0.916 0.416 0.500
0.005 0.758 0.898
0.072 0.466 0.246
0.174 0.928 0.393
0.186 0.436 0.089
0.186 0.436 0.589
0.216 0.322 0.746
0.219 0.826 0.754
0.242 0.140 0.247
0.347 0.096 0.911
0.403 0.814 0.250
0.508 0.255 0.398
0.531 0.784 0.107
0.534 0.781 0.607
0.564 0.154 0.750
0.564 0.653 0.750
0.576 0.469 0.254
0.678 0.424 0.893
0.745 0.143 0.253
0.846 0.597 0.411
0.857 0.110 0.602
0.860 0.107 0.102
0.890 0.492 0.747
0.893 0.995 0.753
0.904 0.814 0.250
```

No. 2
For Ho3Co2Si3, a cell relaxed with PBE gives the theoretical powder X-ray diffraction pattern in this record (Cu Kα (λ = 1.5418 Å)).
Intensities are scaled so that the largest is 1000.

Most intense lines, 2θ from 10° to 90°, low angle first:
26.1 deg, rel. 473; 34.5 deg, rel. 746; 35.5 deg, rel. 1000; 39.4 deg, rel. 427; 39.9 deg, rel. 419; 44.3 deg, rel. 363

Atomic structure:
```
Ho3Co2Si3
1.0
2.045 -5.214 0.000
2.045 5.214 0.000
0.000 0.000 13.548
Ho Co Si
6 4 6
direct
0.081 0.919 0.612
0.081 0.919 0.888
0.362 0.638 0.750
0.638 0.362 0.250
0.919 0.081 0.112
0.919 0.081 0.388
0.214 0.786 0.081
0.214 0.786 0.419
0.786 0.214 0.581
0.786 0.214 0.919
0.330 0.670 0.250
0.379 0.621 0.539
0.379 0.621 0.961
0.621 0.379 0.039
0.621 0.379 0.461
0.670 0.330 0.750
```

No. 3
For CsRbAs, a cell relaxed with PBE gives the theoretical powder X-ray diffraction pattern in this record (Cu Kα (λ = 1.5418 Å)).
Intensities are scaled so that the largest is 1000.

Most intense lines, 2θ from 10° to 90°, low angle first:
18.0 deg, rel. 207; 20.8 deg, rel. 268; 29.6 deg, rel. 1000; 42.3 deg, rel. 185; 52.4 deg, rel. 391; 84.9 deg, rel. 200

Atomic structure:
```
CsRbAs
1.0
0.000 4.274 4.274
4.274 0.000 4.274
4.274 4.274 0.000
Cs Rb As
1 1 1
direct
0.000 0.000 0.000
0.500 0.500 0.500
0.750 0.750 0.750
```

No. 4
For ThCoGe2, a cell relaxed with PBE gives the theoretical powder X-ray diffraction pattern in this record (Cu Kα (λ = 1.5418 Å)).
Intensities are scaled so that the largest is 1000.

Most intense lines, 2θ from 10° to 90°, low angle first:
23.5 deg, rel. 159; 30.4 deg, rel. 207; 34.0 deg, rel. 1000; 38.5 deg, rel. 235; 42.7 deg, rel. 189; 42.9 deg, rel. 206

Atomic structure:
```
ThCoGe2
1.0
2.107 -8.417 0.000
2.107 8.417 0.000
0.000 0.000 4.232
Th Co Ge
2 2 4
direct
0.110 0.890 0.750
0.890 0.110 0.250
0.319 0.681 0.750
0.681 0.319 0.250
0.250 0.750 0.250
0.457 0.543 0.750
0.543 0.457 0.250
0.750 0.250 0.750
```

No. 5
For TlFe2S3, a cell relaxed with PBE gives the theoretical powder X-ray diffraction pattern in this record (Cu Kα (λ = 1.5418 Å)).
Intensities are scaled so that the largest is 1000.

Most intense lines, 2θ from 10° to 90°, low angle first:
21.6 deg, rel. 508; 23.9 deg, rel. 232; 26.7 deg, rel. 552; 31.2 deg, rel. 1000; 35.8 deg, rel. 209; 37.3 deg, rel. 188

Atomic structure:
```
TlFe2S3
1.0
4.464 -5.403 0.000
4.464 5.403 0.000
0.000 0.000 5.149
Tl Fe S
2 4 6
direct
0.158 0.842 0.750
0.842 0.158 0.250
0.358 0.358 0.000
0.358 0.358 0.500
0.642 0.642 0.000
0.642 0.642 0.500
0.113 0.335 0.750
0.335 0.113 0.250
0.388 0.612 0.250
0.612 0.388 0.750
0.665 0.887 0.750
0.887 0.665 0.250
```

No. 6
For Pr3Al12Ru4, a cell relaxed with PBE gives the theoretical powder X-ray diffraction pattern in this record (Cu Kα (λ = 1.5418 Å)).
Intensities are scaled so that the largest is 1000.

Most intense lines, 2θ from 10° to 90°, low angle first:
24.8 deg, rel. 522; 29.6 deg, rel. 1000; 36.2 deg, rel. 627; 37.0 deg, rel. 370; 40.5 deg, rel. 863; 56.0 deg, rel. 395

Atomic structure:
```
Pr3Al12Ru4
1.0
8.910 0.000 0.000
-4.455 7.716 0.000
0.000 0.000 9.709
Pr Al Ru
6 24 8
direct
0.192 0.384 0.250
0.192 0.808 0.250
0.384 0.192 0.750
0.616 0.808 0.250
0.808 0.192 0.750
0.808 0.616 0.750
0.000 0.000 0.250
0.000 0.000 0.750
0.125 0.563 0.750
0.162 0.325 0.576
0.162 0.325 0.924
0.162 0.838 0.576
0.162 0.838 0.924
0.325 0.162 0.076
0.325 0.162 0.424
0.333 0.667 0.009
0.333 0.667 0.491
0.437 0.563 0.750
0.437 0.875 0.750
0.563 0.125 0.250
0.563 0.437 0.250
0.667 0.333 0.509
0.667 0.333 0.991
0.675 0.838 0.576
0.675 0.838 0.924
0.838 0.162 0.076
0.838 0.162 0.424
0.838 0.675 0.076
0.838 0.675 0.424
0.875 0.437 0.250
0.000 0.000 0.000
0.000 0.000 0.500
0.000 0.500 0.000
0.000 0.500 0.500
0.500 0.000 0.000
0.500 0.000 0.500
0.500 0.500 0.000
0.500 0.500 0.500
```

No. 7
For LiSnPd2, a cell relaxed with PBE gives the theoretical powder X-ray diffraction pattern in this record (Cu Kα (λ = 1.5418 Å)).
Intensities are scaled so that the largest is 1000.

Most intense lines, 2θ from 10° to 90°, low angle first:
24.2 deg, rel. 282; 40.1 deg, rel. 1000; 47.4 deg, rel. 146; 58.0 deg, rel. 169; 72.9 deg, rel. 344; 86.6 deg, rel. 113

Atomic structure:
```
LiSnPd2
1.0
0.000 3.179 3.179
3.179 0.000 3.179
3.179 3.179 0.000
Li Sn Pd
1 1 2
direct
0.000 0.000 0.000
0.500 0.500 0.500
0.250 0.250 0.250
0.750 0.750 0.750
```

No. 8
For Zr2HBr2, a cell relaxed with PBE gives the theoretical powder X-ray diffraction pattern in this record (Cu Kα (λ = 1.5418 Å)).
Intensities are scaled so that the largest is 1000.

Most intense lines, 2θ from 10° to 90°, low angle first:
17.6 deg, rel. 285; 30.1 deg, rel. 223; 32.5 deg, rel. 258; 33.5 deg, rel. 1000; 35.4 deg, rel. 283; 41.3 deg, rel. 278

Atomic structure:
```
Zr2HBr2
1.0
10.224 -1.767 0.000
10.224 1.767 0.000
-1.040 0.000 5.885
Zr H Br
4 2 4
direct
0.184 0.184 0.450
0.313 0.313 0.049
0.687 0.687 0.951
0.816 0.816 0.550
0.282 0.282 0.382
0.718 0.718 0.618
0.091 0.091 0.726
0.407 0.407 0.773
0.593 0.593 0.227
0.909 0.909 0.274
```